In5GaCl8: theoretical powder X-ray diffraction pattern (Cu Kα (λ = 1.5418 Å)), based on the GGA-PBE geometry in Alexandria.
Intensities are scaled so that the largest is 100.

Largest 6 diffraction maxima, most intense first, 2θ = 10–80°:
two_theta	intensity
23.2	100
40.0	63
36.6	38
28.0	31
55.4	27
19.7	24

a b c (Å): 9.0085 9.0085 9.0085
angles (deg): 119.98 119.98 90.04
Fractional positions:
In1 0.0000 0.0000 0.0000
In2 0.1198 0.3754 0.7493
In3 0.6246 0.3739 0.7443
In4 0.6261 0.3705 0.2507
In5 0.6295 0.8802 0.2557
Ga1 0.2500 0.7500 0.5000
Cl1 0.3451 0.0500 0.6952
Cl2 0.3500 0.6549 0.7048
Cl3 0.3548 0.6500 0.3048
Cl4 0.4235 0.1390 0.2807
Cl5 0.8573 0.5765 0.7156
Cl6 0.8583 0.1427 0.7193
Cl7 0.8610 0.1417 0.2844
Cl8 0.9500 0.6452 0.2952